Structure and simulated PXRD pattern of Pm3NdSe4 (the GGA-PBE geometry in Alexandria; Cu Kα X-rays).
Lines closer than 0.1° are merged.

Structure:
```
data_Pm3NdSe4
_chemical_formula_sum 'Pm3 Nd1 Se4'
_cell_length_a 5.949
_cell_length_b 5.949
_cell_length_c 5.949
_cell_angle_alpha 90.00
_cell_angle_beta 90.00
_cell_angle_gamma 90.00
_symmetry_space_group_name_H-M 'P m -3 m'
_symmetry_Int_Tables_number 221
_symmetry_space_group_name_Hall '-P 4 2 3'
loop_
_atom_site_label
_atom_site_type_symbol
_atom_site_fract_x
_atom_site_fract_y
_atom_site_fract_z
_atom_site_occupancy
Pm1 Pm 0.000 0.000 0.500 1
Nd1 Nd 0.500 0.500 0.500 1
Se1 Se 0.000 0.000 0.000 1
Se2 Se 0.000 0.500 0.500 1
```

Main lines, low angle first (5° ≤ 2θ ≤ 70°):
- 3.435 Å, 25.9 deg, intensity 165, hkl 1 1 1
- 2.974 Å, 30.0 deg, intensity 1000, hkl 2 0 0
- 2.103 Å, 43.0 deg, intensity 746, hkl 2 2 0
- 1.794 Å, 50.9 deg, intensity 82, hkl 3 1 1
- 1.717 Å, 53.3 deg, intensity 264, hkl 2 2 2
- 1.487 Å, 62.4 deg, intensity 123, hkl 4 0 0
- 1.365 Å, 68.8 deg, intensity 33, hkl 3 3 1